Structure and calculated powder X-ray diffraction pattern of BaAlCuAgO5 (a DFT-relaxed cell (PBE, the Materials Project); copper Kα).
Kinematic intensities with the Lorentz-polarization factor, no thermal factor.

Largest 12 diffraction maxima, in order of rising 2θ, 2θ = 10–80°:
two_theta, I/Imax, h k l
23.0, 24, 0 1 -1
23.9, 42, 0 1 1
29.2, 100, 1 0 1
30.3, 43, 1 0 -2
30.9, 72, -1 1 1
31.2, 84, 1 1 -1
31.8, 57, 0 1 -2
33.1, 47, 0 1 2
38.8, 27, 0 0 3
39.9, 52, 0 2 0
40.3, 26, 1 0 -3
49.1, 24, 1 -2 1

```
data_BaAlCuAgO5
_cell_length_a 3.9314
_cell_length_b 4.5244
_cell_length_c 7.1800
_cell_angle_alpha 91.86
_cell_angle_beta 103.75
_cell_angle_gamma 91.28
_symmetry_space_group_name_H-M 'P 1'
_symmetry_Int_Tables_number 1
_symmetry_space_group_name_Hall 'P 1'
loop_
_atom_site_label
_atom_site_type_symbol
_atom_site_fract_x
_atom_site_fract_y
_atom_site_fract_z
Ba1 Ba 0.0000 0.0000 0.0000
Al1 Al 0.5399 0.1191 0.5308
Cu1 Cu 0.3143 0.5020 0.7290
Ag1 Ag 0.7120 0.5188 0.2905
O1 O 0.2474 0.4286 0.4581
O2 O 0.3810 0.9344 0.7084
O3 O 0.3982 0.5129 0.9975
O4 O 0.6466 0.0045 0.3131
O5 O 0.8257 0.3767 0.7088
```

=====

Structure and calculated powder X-ray diffraction pattern of Cs2AlAgBr6 (a DFT-relaxed cell (PBE, the Materials Project); copper Kα).
Kinematic intensities with the Lorentz-polarization factor, no thermal factor.

Largest 12 diffraction maxima, in order of rising 2θ, 2θ = 10–80°:
two_theta, I/Imax, h k l
23.0, 38, 2 2 0
28.3, 93, 2 2 2
32.8, 100, 4 0 0
35.8, 12, 3 3 1
40.4, 15, 4 2 2
47.0, 69, 4 4 0
55.8, 37, 6 2 2
58.5, 23, 4 4 4
63.7, 10, 6 4 2
68.6, 10, 8 0 0
75.8, 14, 6 6 2
78.2, 28, 8 4 0

```
data_Cs2AlAgBr6
_cell_length_a 10.9373
_cell_length_b 10.9373
_cell_length_c 10.9373
_cell_angle_alpha 90.00
_cell_angle_beta 90.00
_cell_angle_gamma 90.00
_symmetry_space_group_name_H-M 'F m -3 m'
_symmetry_Int_Tables_number 225
_symmetry_space_group_name_Hall '-F 4 2 3'
loop_
_atom_site_label
_atom_site_type_symbol
_atom_site_fract_x
_atom_site_fract_y
_atom_site_fract_z
Cs1 Cs 0.2500 0.2500 0.2500
Al1 Al 0.0000 0.0000 0.0000
Ag1 Ag 0.0000 0.0000 0.5000
Br1 Br 0.0000 0.0000 0.2337
```

=====

Structure and calculated powder X-ray diffraction pattern of Na2AlAgBr6 (a DFT-relaxed cell (PBE, the Materials Project); copper Kα).
Kinematic intensities with the Lorentz-polarization factor, no thermal factor.

Largest 12 diffraction maxima, in order of rising 2θ, 2θ = 10–80°:
two_theta, I/Imax, h k l
16.6, 85, 2 0 0
27.7, 14, 3 1 1
29.0, 69, 2 2 2
33.6, 100, 4 0 0
36.7, 17, 3 3 1
37.7, 39, 4 2 0
48.2, 68, 4 4 0
51.4, 19, 6 0 0
57.3, 26, 6 2 2
60.1, 22, 4 4 4
70.6, 10, 8 0 0
73.1, 10, 6 4 4

```
data_Na2AlAgBr6
_cell_length_a 10.6714
_cell_length_b 10.6714
_cell_length_c 10.6714
_cell_angle_alpha 90.00
_cell_angle_beta 90.00
_cell_angle_gamma 90.00
_symmetry_space_group_name_H-M 'F m -3 m'
_symmetry_Int_Tables_number 225
_symmetry_space_group_name_Hall '-F 4 2 3'
loop_
_atom_site_label
_atom_site_type_symbol
_atom_site_fract_x
_atom_site_fract_y
_atom_site_fract_z
Na1 Na 0.2500 0.2500 0.2500
Al1 Al 0.0000 0.0000 0.0000
Ag1 Ag 0.0000 0.0000 0.5000
Br1 Br 0.0000 0.0000 0.2363
```

=====

Structure and calculated powder X-ray diffraction pattern of Rb2AlAgBr6 (a DFT-relaxed cell (PBE, the Materials Project); copper Kα).
Kinematic intensities with the Lorentz-polarization factor, no thermal factor.

Largest 12 diffraction maxima, in order of rising 2θ, 2θ = 10–80°:
two_theta, I/Imax, h k l
16.4, 17, 2 0 0
23.2, 19, 2 2 0
27.3, 11, 3 1 1
28.6, 84, 2 2 2
33.1, 100, 4 0 0
36.2, 13, 3 3 1
47.5, 68, 4 4 0
56.4, 33, 6 2 2
59.1, 23, 4 4 4
69.4, 10, 8 0 0
76.7, 12, 6 6 2
79.1, 28, 8 4 0

```
data_Rb2AlAgBr6
_cell_length_a 10.8301
_cell_length_b 10.8301
_cell_length_c 10.8301
_cell_angle_alpha 90.00
_cell_angle_beta 90.00
_cell_angle_gamma 90.00
_symmetry_space_group_name_H-M 'F m -3 m'
_symmetry_Int_Tables_number 225
_symmetry_space_group_name_Hall '-F 4 2 3'
loop_
_atom_site_label
_atom_site_type_symbol
_atom_site_fract_x
_atom_site_fract_y
_atom_site_fract_z
Rb1 Rb 0.2500 0.2500 0.2500
Al1 Al 0.0000 0.0000 0.0000
Ag1 Ag 0.0000 0.0000 0.5000
Br1 Br 0.0000 0.0000 0.2348
```

=====

Structure and calculated powder X-ray diffraction pattern of Ca3Al7Ag2 (a DFT-relaxed cell (PBE, the Materials Project); copper Kα).
Kinematic intensities with the Lorentz-polarization factor, no thermal factor.

Largest 12 diffraction maxima, in order of rising 2θ, 2θ = 10–80°:
two_theta, I/Imax, h k l
18.5, 16, 1 0 1
19.3, 13, 0 1 2
19.8, 18, 0 0 6
31.7, 53, 1 1 0
33.3, 23, 1 1 3
37.7, 100, 1 1 6
39.3, 12, 0 2 4
40.3, 16, 0 0 12
40.6, 14, 2 0 5
44.2, 19, 1 1 9
60.5, 23, 3 0 6
66.3, 16, 2 2 0

```
data_Ca3Al7Ag2
_cell_length_a 5.6371
_cell_length_b 5.6371
_cell_length_c 26.8851
_cell_angle_alpha 90.00
_cell_angle_beta 90.00
_cell_angle_gamma 120.00
_symmetry_space_group_name_H-M 'R -3 m'
_symmetry_Int_Tables_number 166
_symmetry_space_group_name_Hall '-R 3 2"'
loop_
_atom_site_label
_atom_site_type_symbol
_atom_site_fract_x
_atom_site_fract_y
_atom_site_fract_z
Ca1 Ca 0.0000 0.0000 0.0000
Ca2 Ca 0.0000 0.0000 0.1433
Al1 Al 0.0000 0.0000 0.5000
Al2 Al 0.0062 0.5031 0.9175
Ag1 Ag 0.0000 0.0000 0.3357
```

=====

Please write out number 2 again, unchanged.
Structure and calculated powder X-ray diffraction pattern of Cs2AlAgBr6 (a DFT-relaxed cell (PBE, the Materials Project); copper Kα).
Kinematic intensities with the Lorentz-polarization factor, no thermal factor.

Largest 12 diffraction maxima, in order of rising 2θ, 2θ = 10–80°:
two_theta, I/Imax, h k l
23.0, 38, 2 2 0
28.3, 93, 2 2 2
32.8, 100, 4 0 0
35.8, 12, 3 3 1
40.4, 15, 4 2 2
47.0, 69, 4 4 0
55.8, 37, 6 2 2
58.5, 23, 4 4 4
63.7, 10, 6 4 2
68.6, 10, 8 0 0
75.8, 14, 6 6 2
78.2, 28, 8 4 0

```
data_Cs2AlAgBr6
_cell_length_a 10.9373
_cell_length_b 10.9373
_cell_length_c 10.9373
_cell_angle_alpha 90.00
_cell_angle_beta 90.00
_cell_angle_gamma 90.00
_symmetry_space_group_name_H-M 'F m -3 m'
_symmetry_Int_Tables_number 225
_symmetry_space_group_name_Hall '-F 4 2 3'
loop_
_atom_site_label
_atom_site_type_symbol
_atom_site_fract_x
_atom_site_fract_y
_atom_site_fract_z
Cs1 Cs 0.2500 0.2500 0.2500
Al1 Al 0.0000 0.0000 0.0000
Ag1 Ag 0.0000 0.0000 0.5000
Br1 Br 0.0000 0.0000 0.2337
```